The following is a simulated X-ray diffraction stick pattern of NaCo2O4. It was derived from a DFT-relaxed cell (PBE+U, OQMD), using Cu Kα (weighted mean of Kα1 and Kα2).
Lines closer than 0.1° are merged.

Cell and atoms:
```
data_NaCo2O4
_cell_length_a 5.708
_cell_length_b 10.890
_cell_length_c 4.981
_cell_angle_alpha 90.00
_cell_angle_beta 90.00
_cell_angle_gamma 90.00
_space_group_name_H-M_alt 'P m m n'
_space_group_IT_number 59
loop_
_space_group_symop_operation_xyz
'x,y,z'
'-x,-y,-z'
'-x+1/2,-y+1/2,z'
'x+1/2,y+1/2,-z'
'x+1/2,-y,-z'
'-x+1/2,y,z'
'-x,y+1/2,-z'
'x,-y+1/2,z'
loop_
_atom_site_label
_atom_site_type_symbol
_atom_site_fract_x
_atom_site_fract_y
_atom_site_fract_z
Na1 Na 0.250 0.250 0.014
Na2 Na 0.250 0.750 0.347
Co1 Co 0.000 0.000 0.500
Co2 Co 0.250 0.509 0.998
O1 O 0.004 0.094 0.817
O2 O 0.250 0.088 0.345
O3 O 0.250 0.593 0.649
```

Largest 10 diffraction maxima, in order of rising 2θ, 10° ≤ 2θ ≤ 90°:
2θ/deg, intensity, hkl
16.3, 100, 0 2 0
32.9, 11, 0 4 0
36.1, 8, 0 0 2
36.3, 15, 2 0 1
39.8, 13, 0 2 2
40.0, 27, 2 2 1
49.6, 14, 0 4 2
49.8, 27, 2 4 1
63.6, 11, 2 6 1
65.0, 10, 2 0 3